[1]
The following is a theoretical XRD peak list of TbAlZn2Pt. It was derived from DFT lattice parameters and positions (PBE), using Cu Ka.

Atomic structure:
```
TbAlZn2Pt
1.0
3.747 0.000 0.000
0.000 4.215 0.000
0.000 0.000 11.769
Tb Al Zn Pt
2 2 4 2
Direct
0.000 0.000 0.000 Tb
0.500 0.500 0.500 Tb
0.000 0.500 0.751 Al
0.500 0.000 0.251 Al
0.000 0.000 0.615 Zn
0.000 0.500 0.263 Zn
0.500 0.000 0.763 Zn
0.500 0.500 0.115 Zn
0.000 0.000 0.398 Pt
0.500 0.500 0.898 Pt
```

Top 12 peaks for 2θ = 5–70°, by intensity:
Position (°2θ)  I (rel.)
35.5  100
32.0  61
31.1  56
15.1  53
44.1  48
33.1  46
42.9  36
45.5  34
67.7  26
48.6  25
64.3  24
55.2  22

[2]
The following is a theoretical XRD peak list of Tb2Al4Zn3Pt. It was derived from DFT lattice parameters and positions (PBE), using Cu Ka.

Atomic structure:
```
Tb2Al4Zn3Pt
1.0
4.142 0.000 0.000
0.000 4.142 0.000
0.000 0.000 10.826
Tb Al Zn Pt
2 4 3 1
Direct
0.000 0.500 0.250 Tb
0.500 0.000 0.750 Tb
0.000 0.000 0.000 Al
0.000 0.500 0.632 Al
0.500 0.000 0.368 Al
0.500 0.500 0.000 Al
0.000 0.500 0.859 Zn
0.500 0.000 0.141 Zn
0.500 0.500 0.500 Zn
0.000 0.000 0.500 Pt
```

Top 12 peaks for 2θ = 5–70°, by intensity:
Position (°2θ)  I (rel.)
34.8  100
32.9  49
43.7  41
8.2  36
23.0  26
47.4  25
55.8  22
31.6  20
66.4  18
60.2  13
63.5  13
33.1  13

[3]
The following is a theoretical XRD peak list of Th3Al2Pt4. It was derived from DFT lattice parameters and positions (PBE), using Cu Ka.

Atomic structure:
```
Th3Al2Pt4
1.0
5.689 -2.177 0.000
5.689 2.177 0.000
-3.828 0.000 7.853
Th Al Pt
3 2 4
Direct
0.000 0.000 0.000 Th
0.367 0.367 0.302 Th
0.633 0.633 0.698 Th
0.326 0.326 0.651 Al
0.674 0.674 0.349 Al
0.082 0.082 0.403 Pt
0.297 0.297 0.927 Pt
0.703 0.703 0.073 Pt
0.918 0.918 0.597 Pt
```

Top 12 peaks for 2θ = 5–70°, by intensity:
Position (°2θ)  I (rel.)
34.6  100
31.3  85
33.4  79
38.9  67
41.5  53
30.8  45
34.3  26
31.7  26
52.5  21
16.0  21
69.6  20
50.4  20

[4]
The following is a theoretical XRD peak list of Th2Al3Pt9. It was derived from DFT lattice parameters and positions (PBE), using Cu Ka.

Atomic structure:
```
Th2Al3Pt9
1.0
6.699 -3.863 0.000
6.699 3.863 0.000
-4.572 0.000 9.515
Th Al Pt
4 6 18
Direct
0.083 0.255 0.250 Th
0.255 0.083 0.750 Th
0.745 0.917 0.250 Th
0.917 0.745 0.750 Th
0.000 0.500 0.000 Al
0.150 0.676 0.500 Al
0.324 0.850 0.000 Al
0.500 0.000 0.500 Al
0.676 0.150 0.000 Al
0.850 0.324 0.500 Al
0.028 0.852 0.071 Pt
0.148 0.972 0.429 Pt
0.198 0.357 0.570 Pt
0.199 0.586 0.252 Pt
0.312 0.476 0.926 Pt
0.357 0.198 0.070 Pt
0.365 0.635 0.750 Pt
0.414 0.801 0.248 Pt
0.476 0.312 0.426 Pt
0.524 0.688 0.574 Pt
0.586 0.199 0.752 Pt
0.635 0.365 0.250 Pt
0.643 0.802 0.930 Pt
0.688 0.524 0.074 Pt
0.801 0.414 0.748 Pt
0.802 0.643 0.430 Pt
0.852 0.028 0.571 Pt
0.972 0.148 0.929 Pt
```

Top 12 peaks for 2θ = 5–70°, by intensity:
Position (°2θ)  I (rel.)
40.4  100
36.7  67
36.5  66
36.8  65
23.0  26
47.0  18
35.6  18
37.8  18
63.7  17
58.2  17
55.7  14
55.4  12

[5]
The following is a theoretical XRD peak list of ThAl2Pt8. It was derived from DFT lattice parameters and positions (PBE), using Cu Ka.

Atomic structure:
```
ThAl2Pt8
1.0
5.436 0.000 0.000
0.000 5.436 0.000
0.000 0.000 7.685
Th Al Pt
1 2 8
Direct
0.000 0.000 0.000 Th
0.000 0.500 0.500 Al
0.500 0.000 0.500 Al
0.255 0.255 0.280 Pt
0.255 0.255 0.720 Pt
0.255 0.745 0.280 Pt
0.255 0.745 0.720 Pt
0.745 0.255 0.280 Pt
0.745 0.255 0.720 Pt
0.745 0.745 0.280 Pt
0.745 0.745 0.720 Pt
```

Top 12 peaks for 2θ = 5–70°, by intensity:
Position (°2θ)  I (rel.)
40.7  100
23.1  51
33.0  50
47.3  48
69.1  26
35.0  24
53.3  22
60.2  14
20.0  11
48.9  9
58.9  9
25.9  9

[6]
The following is a theoretical XRD peak list of Ti4AlPt7. It was derived from DFT lattice parameters and positions (PBE), using Cu Ka.

Atomic structure:
```
Ti4AlPt7
1.0
5.435 -2.334 0.000
5.435 2.334 0.000
-4.805 0.000 8.046
Ti Al Pt
4 1 7
Direct
0.085 0.085 0.273 Ti
0.246 0.246 0.835 Ti
0.754 0.754 0.165 Ti
0.915 0.915 0.727 Ti
0.500 0.500 0.500 Al
0.000 0.000 0.500 Pt
0.137 0.137 0.036 Pt
0.287 0.287 0.597 Pt
0.425 0.425 0.181 Pt
0.575 0.575 0.819 Pt
0.713 0.713 0.403 Pt
0.863 0.863 0.964 Pt
```

Top 12 peaks for 2θ = 5–70°, by intensity:
Position (°2θ)  I (rel.)
27.0  100
40.9  68
38.6  68
34.1  39
47.0  39
52.4  24
45.3  20
35.8  15
55.7  15
44.1  14
20.5  12
43.6  11

[7]
The following is a theoretical XRD peak list of Ti4Al2Pt. It was derived from DFT lattice parameters and positions (PBE), using Cu Ka.

Atomic structure:
```
Ti4Al2Pt
1.0
4.712 0.000 0.000
0.000 4.712 0.000
0.000 0.000 13.545
Ti Al Pt
8 4 2
Direct
0.000 0.000 0.185 Ti
0.000 0.000 0.815 Ti
0.000 0.500 0.000 Ti
0.000 0.500 0.500 Ti
0.500 0.000 0.000 Ti
0.500 0.000 0.500 Ti
0.500 0.500 0.315 Ti
0.500 0.500 0.685 Ti
0.000 0.000 0.380 Al
0.000 0.000 0.620 Al
0.500 0.500 0.120 Al
0.500 0.500 0.880 Al
0.000 0.000 0.000 Pt
0.500 0.500 0.500 Pt
```

Top 12 peaks for 2θ = 5–70°, by intensity:
Position (°2θ)  I (rel.)
20.0  100
13.1  94
38.3  55
55.2  54
38.2  51
26.8  42
43.5  27
27.4  24
40.5  23
56.5  20
26.3  18
47.0  15

[8]
The following is a theoretical XRD peak list of Tm4Al24Pt9. It was derived from DFT lattice parameters and positions (PBE), using Cu Ka.

Atomic structure:
```
Tm4Al24Pt9
1.0
7.506 0.000 0.000
3.746 6.508 0.000
1.253 2.147 12.906
Tm Al Pt
4 24 9
Direct
0.001 0.232 0.309 Tm
0.332 0.562 0.309 Tm
0.668 0.438 0.691 Tm
0.999 0.768 0.691 Tm
0.001 0.686 0.941 Al
0.001 0.852 0.444 Al
0.006 0.057 0.828 Al
0.130 0.309 0.684 Al
0.332 0.021 0.939 Al
0.332 0.184 0.452 Al
0.333 0.647 0.059 Al
0.334 0.384 0.828 Al
0.334 0.482 0.556 Al
0.336 0.897 0.683 Al
0.340 0.270 0.171 Al
0.458 0.897 0.317 Al
0.542 0.103 0.683 Al
0.660 0.730 0.829 Al
0.664 0.103 0.317 Al
0.666 0.518 0.444 Al
0.666 0.616 0.172 Al
0.667 0.353 0.941 Al
0.668 0.816 0.548 Al
0.668 0.979 0.061 Al
0.870 0.691 0.316 Al
0.994 0.943 0.172 Al
0.999 0.148 0.556 Al
0.999 0.314 0.059 Al
0.000 0.500 0.500 Pt
0.009 0.612 0.139 Pt
0.325 0.954 0.137 Pt
0.328 0.829 0.500 Pt
0.333 0.704 0.861 Pt
0.667 0.296 0.139 Pt
0.672 0.171 0.500 Pt
0.675 0.046 0.863 Pt
0.991 0.388 0.861 Pt
```

Top 12 peaks for 2θ = 5–70°, by intensity:
Position (°2θ)  I (rel.)
41.7  100
30.1  88
28.7  83
23.8  78
38.6  31
44.5  26
20.6  24
34.9  23
34.8  20
51.4  18
68.9  16
47.0  16

[9]
The following is a theoretical XRD peak list of TmAlPt5. It was derived from DFT lattice parameters and positions (PBE), using Cu Ka.

Atomic structure:
```
TmAlPt5
1.0
4.049 0.000 0.000
0.000 4.049 0.000
0.000 0.000 7.246
Tm Al Pt
1 1 5
Direct
0.000 0.000 0.000 Tm
0.500 0.500 0.500 Al
0.000 0.500 0.290 Pt
0.000 0.500 0.710 Pt
0.500 0.000 0.290 Pt
0.500 0.000 0.710 Pt
0.500 0.500 0.000 Pt
```

Top 12 peaks for 2θ = 5–70°, by intensity:
Position (°2θ)  I (rel.)
40.1  100
44.8  44
33.7  40
59.6  21
37.2  20
65.2  15
31.2  13
69.6  11
50.4  7
12.2  7
24.6  6
51.7  4

[10]
The following is a theoretical XRD peak list of TmAlPt. It was derived from DFT lattice parameters and positions (PBE), using Cu Ka.

Atomic structure:
```
TmAlPt
1.0
6.797 0.000 0.000
0.000 4.394 0.000
0.000 0.000 7.735
Tm Al Pt
4 4 4
Direct
0.028 0.250 0.182 Tm
0.472 0.750 0.682 Tm
0.528 0.250 0.318 Tm
0.972 0.750 0.818 Tm
0.147 0.250 0.563 Al
0.353 0.750 0.063 Al
0.647 0.250 0.937 Al
0.853 0.750 0.437 Al
0.230 0.750 0.383 Pt
0.270 0.250 0.883 Pt
0.730 0.750 0.117 Pt
0.770 0.250 0.617 Pt
```

Top 12 peaks for 2θ = 5–70°, by intensity:
Position (°2θ)  I (rel.)
35.3  100
26.8  49
33.6  40
41.1  34
26.5  33
40.6  24
46.5  20
42.8  18
63.7  15
53.9  14
37.3  13
70.0  13

[11]
The following is a theoretical XRD peak list of Tm3Al8Pt3. It was derived from DFT lattice parameters and positions (PBE), using Cu Ka.

Atomic structure:
```
Tm3Al8Pt3
1.0
7.772 -2.168 0.000
7.772 2.168 0.000
-5.564 0.000 7.520
Tm Al Pt
3 8 3
Direct
0.000 0.000 0.000 Tm
0.285 0.285 0.289 Tm
0.715 0.715 0.711 Tm
0.138 0.138 0.428 Al
0.151 0.151 0.867 Al
0.349 0.349 0.719 Al
0.496 0.496 0.330 Al
0.504 0.504 0.670 Al
0.651 0.651 0.281 Al
0.849 0.849 0.133 Al
0.862 0.862 0.572 Al
0.000 0.000 0.500 Pt
0.355 0.355 0.994 Pt
0.645 0.645 0.006 Pt
```

Top 12 peaks for 2θ = 5–70°, by intensity:
Position (°2θ)  I (rel.)
29.7  100
35.4  71
19.0  53
41.7  51
29.0  50
35.6  49
26.7  43
34.7  37
11.8  32
38.3  31
36.7  29
44.6  23

[12]
The following is a theoretical XRD peak list of Al2ZnPtW. It was derived from DFT lattice parameters and positions (PBE), using Cu Ka.

Atomic structure:
```
Al2ZnPtW
1.0
4.787 0.000 0.000
0.000 4.787 0.000
0.000 0.000 4.777
Al Zn Pt W
2 1 1 1
Direct
0.000 0.500 0.000 Al
0.500 0.000 0.000 Al
0.000 0.000 0.500 Zn
0.500 0.500 0.500 Pt
0.000 0.000 0.000 W
```

Top 12 peaks for 2θ = 5–70°, by intensity:
Position (°2θ)  I (rel.)
26.3  100
37.6  45
46.5  44
54.2  31
61.2  14
67.9  11
32.4  7
61.4  5
18.5  3
64.6  2
42.2  1
64.7  1

[13]
The following is a theoretical XRD peak list of YAl3Pt. It was derived from DFT lattice parameters and positions (PBE), using Cu Ka.

Atomic structure:
```
YAl3Pt
1.0
0.000 2.995 5.380
2.992 0.000 5.380
2.992 2.995 0.000
Y Al Pt
1 3 1
Direct
0.000 0.000 0.000 Y
0.243 0.243 0.257 Al
0.588 0.588 0.412 Al
0.743 0.743 0.757 Al
0.363 0.363 0.637 Pt
```

Top 12 peaks for 2θ = 5–70°, by intensity:
Position (°2θ)  I (rel.)
32.7  100
22.6  72
29.8  59
34.3  57
16.5  47
54.8  46
42.7  45
47.4  36
65.7  27
45.3  20
48.8  19
60.1  16